# 1
Sr3Cd7Au4: computed powder diffractogram (λ = 1.5418 Å (Cu Kα)), based on a cell relaxed with GGA-PBE.

Most intense lines, 10 to 90 degrees two-theta, sorted by position:
2θ (°), I_rel, index
31.04, 81, 1 1 2
31.80, 53, 3 1 -3
32.27, 46, 3 1 1
32.45, 98, 5 1 -2
36.96, 45, 5 1 0
38.59, 100, 0 2 0
39.28, 62, 3 1 -4
39.71, 65, 1 1 3

Cell and atoms:
```
data_Sr3Cd7Au4
_chemical_formula_sum 'Sr6 Cd14 Au8'
_cell_length_a 17.208
_cell_length_b 4.666
_cell_length_c 10.608
_cell_angle_alpha 90.00
_cell_angle_beta 124.04
_cell_angle_gamma 90.00
_symmetry_space_group_name_H-M 'C 1 2/m 1'
_symmetry_Int_Tables_number 12
_symmetry_space_group_name_Hall '-C 2y'
loop_
_atom_site_label
_atom_site_fract_x
_atom_site_fract_y
_atom_site_fract_z
Sr1 0.000 0.000 0.000
Sr2 0.197 0.500 0.706
Cd1 0.000 0.000 0.500
Cd2 0.008 0.500 0.305
Cd3 0.156 0.000 0.428
Cd4 0.176 0.500 0.017
Au1 0.118 0.000 0.829
Au2 0.159 0.500 0.268
```

=====

# 2
SrCdAu: computed powder diffractogram (λ = 1.5418 Å (Cu Kα)), based on a cell relaxed with GGA-PBE.

Most intense lines, 10 to 90 degrees two-theta, sorted by position:
2θ (°), I_rel, index
22.64, 32, 1 0 2
30.05, 36, 1 1 2
31.78, 100, 2 1 1
35.58, 57, 0 1 3
37.47, 51, 1 1 3
39.60, 58, 0 2 0
39.96, 42, 3 0 2
57.52, 39, 3 2 2

Cell and atoms:
```
data_SrCdAu
_chemical_formula_sum 'Sr4 Cd4 Au4'
_cell_length_a 7.796
_cell_length_b 4.554
_cell_length_c 9.092
_cell_angle_alpha 90.00
_cell_angle_beta 90.00
_cell_angle_gamma 90.00
_symmetry_space_group_name_H-M 'P n m a'
_symmetry_Int_Tables_number 62
_symmetry_space_group_name_Hall '-P 2ac 2n'
loop_
_atom_site_label
_atom_site_fract_x
_atom_site_fract_y
_atom_site_fract_z
Sr1 0.039 0.250 0.184
Cd1 0.143 0.250 0.562
Au1 0.243 0.750 0.375
```

=====

# 3
Sr3Cd9Au2: computed powder diffractogram (λ = 1.5418 Å (Cu Kα)), based on a cell relaxed with GGA-PBE.

Most intense lines, 10 to 90 degrees two-theta, sorted by position:
2θ (°), I_rel, index
16.90, 29, 0 2 0
31.33, 100, 1 2 3
33.99, 32, 1 3 2
36.44, 51, 1 0 5
37.04, 51, 2 0 0
40.41, 34, 1 2 5
40.57, 24, 1 3 4
43.58, 27, 0 5 1

Cell and atoms:
```
data_Sr3Cd9Au2
_chemical_formula_sum 'Sr6 Cd18 Au4'
_cell_length_a 4.855
_cell_length_b 10.491
_cell_length_c 14.318
_cell_angle_alpha 90.00
_cell_angle_beta 90.00
_cell_angle_gamma 90.00
_symmetry_space_group_name_H-M 'I m m m'
_symmetry_Int_Tables_number 71
_symmetry_space_group_name_Hall '-I 2 2'
loop_
_atom_site_label
_atom_site_fract_x
_atom_site_fract_y
_atom_site_fract_z
Sr1 0.000 0.000 0.000
Sr2 0.000 0.000 0.317
Cd1 0.000 0.279 0.123
Cd2 0.000 0.361 0.326
Cd3 0.000 0.500 0.000
Au1 0.000 0.217 0.500
```